Computed XRD peak list of BaCu6As4 for Cu Kα (weighted mean of Kα1 and Kα2), from the PBE geometry in Alexandria.

Atomic structure:
Cell lengths 12.269, 12.269, 12.269 Å; angles 160.70, 160.70, 27.43 degrees
Sites, in units of the cell vectors:
Ba (0.000, 0.000, 0.000)
Cu (0.131, 0.631, 0.500)
Cu (0.250, 0.750, 0.500)
Cu (0.369, 0.869, 0.500)
Cu (0.631, 0.131, 0.500)
Cu (0.750, 0.250, 0.500)
Cu (0.869, 0.369, 0.500)
As (0.191, 0.191, 0.000)
As (0.424, 0.424, 0.000)
As (0.576, 0.576, 0.000)
As (0.809, 0.809, 0.000)

Peak list (8 most intense, 2θ = 10–90°, most intense first)
two_theta  d [Å]  Rel. int.
28.66  3.114  100.0
44.03  2.057  72.2
43.48  2.081  60.6
49.43  1.844  36.2
31.67  2.826  35.0
53.39  1.716  34.4
64.03  1.454  22.5
34.31  2.614  21.4